This entry pairs a crystal structure of TbGaO3 with its calculated XRD peak list. Radiation: Cu Kα (λ = 1.5418 Å). Structure: a cell relaxed with PBE.

Peak list (10 most intense, 10° ≤ 2θ ≤ 90°, in order of rising 2θ)
Position (°2θ), I (rel.)
23.13, 26.6
32.54, 96.7
33.34, 100.0
40.31, 15.6
47.28, 51.6
58.07, 26.1
58.57, 42.2
60.08, 18.6
78.03, 16.2
79.35, 17.4

Structural model:
abc: 5.5026 5.5026 13.0192
angles: 90.00 90.00 120.00
Space group R-3c (No. 167, hexagonal axes)
Symmetry-distinct sites (fractional):
1 Tb 0.0000 0.0000 0.2500 (multiplicity 6)
2 Ga 0.0000 0.0000 0.0000 (multiplicity 6)
3 O 0.0000 0.4068 0.2500 (multiplicity 18)



This entry pairs a crystal structure of Rb2NbAuF6 with its calculated XRD peak list. Radiation: Cu Kα (λ = 1.5418 Å). Structure: a cell relaxed with PBE.

Peak list (10 most intense, 10° ≤ 2θ ≤ 90°, in order of rising 2θ)
Position (°2θ), I (rel.)
17.34, 16.7
24.61, 100.0
28.95, 7.6
35.09, 29.9
38.35, 8.0
43.33, 37.7
50.47, 18.0
56.93, 24.2
68.66, 24.2
79.50, 11.2

Structural model:
abc: 10.230 10.230 10.230
angles: 90.00 90.00 90.00
Space group Fm-3m (No. 225)
Symmetry-distinct sites (fractional):
1 Rb 0.250 0.250 0.250 (multiplicity 8)
2 Nb 0.000 0.000 0.000 (multiplicity 4)
3 Au 0.000 0.000 0.500 (multiplicity 4)
4 F 0.000 0.000 0.190 (multiplicity 24)



This entry pairs a crystal structure of Ni9Sn2S2 with its calculated XRD peak list. Radiation: Cu Kα (λ = 1.5418 Å). Structure: a cell relaxed with PBE.

Peak list (10 most intense, 10° ≤ 2θ ≤ 90°, in order of rising 2θ)
Position (°2θ), I (rel.)
29.91, 17.4
40.55, 100.0
44.99, 83.5
49.09, 61.6
50.80, 15.1
71.96, 18.7
73.33, 19.4
85.62, 16.9
86.02, 21.8
89.03, 22.8

Structural model:
abc: 3.711 3.711 25.161
angles: 90.00 90.00 90.00
Space group I-4m2 (No. 119)
Symmetry-distinct sites (fractional):
1 Ni 0.000 0.000 0.000 (multiplicity 2)
2 Ni 0.000 0.000 0.101 (multiplicity 4)
3 Ni 0.000 0.000 0.250 (multiplicity 4)
4 Ni 0.000 0.000 0.400 (multiplicity 4)
5 Ni 0.000 0.500 0.678 (multiplicity 4)
6 Sn 0.000 0.500 0.175 (multiplicity 4)
7 S 0.000 0.500 0.551 (multiplicity 4)